[1]
The following is a theoretical PXRD pattern of Sm7Br3O18. It was derived from a crystal structure in the Materials Project, relaxed with GGA-PBE, using Cu Kα, 1.54184 Å.
Peak positions follow from Bragg's law for the DFT cell and can differ from measured ones.

Cell and atoms:
a = 15.663 Å, b = 15.663 Å, c = 4.253 Å
α = 90.00°, β = 90.00°, γ = 120.00°
Positions (direct):
Sm (0.109, 0.850, 0.250)
Sm (0.114, 0.656, 0.750)
Sm (0.150, 0.260, 0.250)
Sm (0.260, 0.109, 0.750)
Sm (0.333, 0.667, 0.250)
Sm (0.344, 0.459, 0.750)
Sm (0.459, 0.114, 0.250)
Sm (0.541, 0.886, 0.750)
Sm (0.656, 0.541, 0.250)
Sm (0.667, 0.333, 0.750)
Sm (0.740, 0.891, 0.250)
Sm (0.850, 0.740, 0.750)
Sm (0.886, 0.344, 0.250)
Sm (0.891, 0.150, 0.750)
Br (0.063, 0.445, 0.750)
Br (0.382, 0.937, 0.750)
Br (0.445, 0.382, 0.250)
Br (0.555, 0.618, 0.750)
Br (0.618, 0.063, 0.250)
Br (0.937, 0.555, 0.250)
O (0.027, 0.843, 0.750)
O (0.031, 0.751, 0.750)
O (0.074, 0.264, 0.750)
O (0.157, 0.184, 0.750)
O (0.165, 0.640, 0.250)
O (0.177, 0.741, 0.250)
O (0.184, 0.027, 0.250)
O (0.190, 0.926, 0.750)
O (0.249, 0.280, 0.750)
O (0.259, 0.436, 0.250)
O (0.264, 0.190, 0.250)
O (0.278, 0.571, 0.750)
O (0.280, 0.031, 0.250)
O (0.293, 0.722, 0.750)
O (0.360, 0.525, 0.250)
O (0.429, 0.707, 0.750)
O (0.436, 0.177, 0.750)
O (0.475, 0.835, 0.250)
O (0.525, 0.165, 0.750)
O (0.564, 0.823, 0.250)
O (0.571, 0.293, 0.250)
O (0.640, 0.475, 0.750)
O (0.707, 0.278, 0.250)
O (0.720, 0.969, 0.750)
O (0.722, 0.429, 0.250)
O (0.736, 0.810, 0.750)
O (0.741, 0.564, 0.750)
O (0.751, 0.720, 0.250)
O (0.810, 0.074, 0.250)
O (0.816, 0.973, 0.750)
O (0.823, 0.259, 0.750)
O (0.835, 0.360, 0.750)
O (0.843, 0.816, 0.250)
O (0.926, 0.736, 0.250)
O (0.969, 0.249, 0.250)
O (0.973, 0.157, 0.250)

Main lines, by angle (10 to 90 degrees two-theta):
- 5.127 Å, 17.30 deg, I 47
- 3.273 Å, 27.24 deg, I 100
- 3.112 Å, 28.69 deg, I 27
- 2.960 Å, 30.19 deg, I 34
- 2.227 Å, 40.51 deg, I 15
- 2.195 Å, 41.11 deg, I 19
- 2.126 Å, 42.51 deg, I 22
- 1.935 Å, 46.95 deg, I 24



[2]
The following is a theoretical PXRD pattern of Sm2Br2O. It was derived from a crystal structure in the Materials Project, relaxed with GGA-PBE, using Cu Kα, 1.54184 Å.
Peak positions follow from Bragg's law for the DFT cell and can differ from measured ones.

Cell and atoms:
a = 4.281 Å, b = 4.281 Å, c = 13.392 Å
α = 90.00°, β = 90.00°, γ = 90.00°
Positions (direct):
Sm (0.000, 0.000, 0.157)
Sm (0.000, 0.000, 0.843)
Br (0.000, 0.000, 0.358)
Br (0.000, 0.000, 0.642)
O (0.000, 0.000, 0.000)

Main lines, by angle (10 to 90 degrees two-theta):
- 4.281 Å, 20.75 deg, I 100
- 3.027 Å, 29.51 deg, I 41
- 2.637 Å, 33.99 deg, I 28
- 2.245 Å, 40.16 deg, I 18
- 2.141 Å, 42.22 deg, I 15
- 1.979 Å, 45.85 deg, I 17
- 1.915 Å, 47.49 deg, I 22
- 1.662 Å, 55.27 deg, I 14



[3]
The following is a theoretical PXRD pattern of SrBr2O. It was derived from a crystal structure in the Materials Project, relaxed with GGA-PBE, using Cu Kα, 1.54184 Å.
Peak positions follow from Bragg's law for the DFT cell and can differ from measured ones.

Cell and atoms:
a = 11.690 Å, b = 4.836 Å, c = 8.312 Å
α = 90.00°, β = 90.00°, γ = 90.00°
Positions (direct):
Sr (0.183, 0.250, 0.114)
Sr (0.317, 0.750, 0.614)
Sr (0.683, 0.250, 0.386)
Sr (0.817, 0.750, 0.886)
Br (0.104, 0.750, 0.871)
Br (0.112, 0.750, 0.358)
Br (0.388, 0.250, 0.858)
Br (0.396, 0.250, 0.371)
Br (0.604, 0.750, 0.629)
Br (0.612, 0.750, 0.142)
Br (0.888, 0.250, 0.642)
Br (0.896, 0.250, 0.129)
O (0.242, 0.750, 0.115)
O (0.258, 0.250, 0.615)
O (0.742, 0.750, 0.385)
O (0.758, 0.250, 0.885)

Main lines, by angle (10 to 90 degrees two-theta):
- 3.726 Å, 23.88 deg, I 30
- 3.043 Å, 29.35 deg, I 100
- 2.843 Å, 31.47 deg, I 57
- 2.501 Å, 35.90 deg, I 28
- 2.451 Å, 36.67 deg, I 49
- 2.418 Å, 37.18 deg, I 36
- 2.078 Å, 43.55 deg, I 21
- 1.842 Å, 49.49 deg, I 30



[4]
The following is a theoretical PXRD pattern of Ta2Te4Br10O. It was derived from a crystal structure in the Materials Project, relaxed with GGA-PBE, using Cu Kα, 1.54184 Å.
Peak positions follow from Bragg's law for the DFT cell and can differ from measured ones.

Cell and atoms:
a = 7.455 Å, b = 8.917 Å, c = 9.682 Å
α = 96.46°, β = 91.92°, γ = 105.53°
Positions (direct):
Ta (0.014, 0.363, 0.134)
Ta (0.986, 0.637, 0.866)
Te (0.314, 0.894, 0.350)
Te (0.415, 0.186, 0.499)
Te (0.585, 0.814, 0.501)
Te (0.686, 0.106, 0.650)
Br (0.038, 0.166, 0.323)
Br (0.103, 0.473, 0.679)
Br (0.162, 0.206, 0.967)
Br (0.309, 0.805, 0.930)
Br (0.351, 0.532, 0.222)
Br (0.649, 0.468, 0.778)
Br (0.691, 0.195, 0.070)
Br (0.838, 0.794, 0.033)
Br (0.897, 0.527, 0.321)
Br (0.962, 0.834, 0.677)
O (0.000, 0.500, 0.000)

Main lines, by angle (10 to 90 degrees two-theta):
- 6.417 Å, 13.80 deg, I 39
- 6.008 Å, 14.74 deg, I 62
- 5.935 Å, 14.93 deg, I 100
- 4.428 Å, 20.05 deg, I 67
- 3.407 Å, 26.16 deg, I 45
- 3.036 Å, 29.42 deg, I 75
- 2.802 Å, 31.94 deg, I 55
- 1.987 Å, 45.65 deg, I 35



[5]
The following is a theoretical PXRD pattern of TcBr6O2. It was derived from a crystal structure in the Materials Project, relaxed with GGA-PBE, using Cu Kα, 1.54184 Å.
Peak positions follow from Bragg's law for the DFT cell and can differ from measured ones.

Cell and atoms:
a = 7.036 Å, b = 7.036 Å, c = 7.036 Å
α = 60.00°, β = 60.00°, γ = 60.00°
Positions (direct):
Tc (0.000, 0.000, 0.000)
Br (0.247, 0.247, 0.753)
Br (0.247, 0.753, 0.247)
Br (0.247, 0.753, 0.753)
Br (0.753, 0.247, 0.247)
Br (0.753, 0.247, 0.753)
Br (0.753, 0.753, 0.247)
O (0.250, 0.250, 0.250)
O (0.750, 0.750, 0.750)

Main lines, by angle (10 to 90 degrees two-theta):
- 5.745 Å, 15.42 deg, I 34
- 4.975 Å, 17.83 deg, I 81
- 2.873 Å, 31.14 deg, I 93
- 2.488 Å, 36.11 deg, I 100
- 2.225 Å, 40.54 deg, I 40
- 1.759 Å, 51.99 deg, I 67
- 1.500 Å, 61.85 deg, I 36
- 1.113 Å, 87.73 deg, I 30